Record 1
For RbCuAgBr4, a structure optimized by DFT (GGA-PBE) gives the theoretical powder X-ray diffraction pattern in this record (Cu Kα (weighted mean of Kα1 and Kα2)).
Lines closer than 0.1° are merged.

Structure:
Lattice parameters (Å, degrees): 11.5799 11.5799 11.5799 90.00 90.00 90.00
Space group F-43m (No. 216)
Asymmetric unit:
Rb 0.0000 0.0000 0.0000 [4 per cell]
Cu 0.0000 0.0000 0.5000 [4 per cell]
Ag 0.2500 0.2500 0.2500 [4 per cell]
Br 0.1193 0.1193 0.3807 [16 per cell]

Top 10 peaks for 2θ = 15–90°, in order of falling intensity:
| index | d/Å | 2theta | intensity |
| --- | --- | --- | --- |
| 2 2 0 | 4.094 | 21.71 | 100 |
| 4 4 0 | 2.047 | 44.25 | 71 |
| 3 3 1 | 2.657 | 33.74 | 60 |
| 2 2 2 | 3.343 | 26.67 | 60 |
| 4 2 2 | 2.364 | 38.07 | 46 |
| 5 3 1 | 1.957 | 46.39 | 40 |
| 3 1 1 | 3.491 | 25.51 | 30 |
| 6 2 2 | 1.746 | 52.41 | 25 |
| 6 4 2 | 1.547 | 59.76 | 25 |
| 7 1 1 | 1.622 | 56.78 | 23 |

***

Record 2
For PmTmZnFe, a structure optimized by DFT (GGA-PBE) gives the theoretical powder X-ray diffraction pattern in this record (Cu Kα (weighted mean of Kα1 and Kα2)).
Lines closer than 0.1° are merged.

Structure:
Lattice parameters (Å, degrees): 6.9862 6.9862 6.9862 90.00 90.00 90.00
Space group F-43m (No. 216)
Asymmetric unit:
Pm 0.0000 0.0000 0.0000 [4 per cell]
Tm 0.0000 0.0000 0.5000 [4 per cell]
Zn 0.2500 0.2500 0.2500 [4 per cell]
Fe 0.2500 0.2500 0.7500 [4 per cell]

Top 10 peaks for 2θ = 15–90°, in order of falling intensity:
| index | d/Å | 2theta | intensity |
| --- | --- | --- | --- |
| 2 2 0 | 2.470 | 36.37 | 100 |
| 4 2 2 | 1.426 | 65.45 | 35 |
| 2 0 0 | 3.493 | 25.50 | 21 |
| 4 0 0 | 1.747 | 52.39 | 17 |
| 6 2 0 | 1.105 | 88.52 | 16 |
| 4 4 0 | 1.235 | 77.25 | 11 |
| 4 2 0 | 1.562 | 59.14 | 9 |
| 2 2 2 | 2.017 | 44.95 | 6 |
| 6 0 0 | 1.164 | 82.92 | 5 |
| 1 1 1 | 4.034 | 22.04 | 1 |

***

Record 3
For Hg2Au3I8, a structure optimized by DFT (GGA-PBE) gives the theoretical powder X-ray diffraction pattern in this record (Cu Kα (weighted mean of Kα1 and Kα2)).
Lines closer than 0.1° are merged.

Structure:
Lattice parameters (Å, degrees): 12.7667 7.6801 24.2183 90.00 99.94 90.00
Space group C2/c (No. 15)
Asymmetric unit:
Hg 0.2070 0.2432 0.1261 [8 per cell]
Au 0.0000 0.0147 0.7500 [4 per cell]
Au 0.1200 0.2587 0.5654 [8 per cell]
I 0.0292 0.4711 0.1003 [8 per cell]
I 0.1029 0.0429 0.8602 [8 per cell]
I 0.1963 0.0079 0.2163 [8 per cell]
I 0.2050 0.0149 0.0292 [8 per cell]

Top 10 peaks for 2θ = 15–90°, in order of falling intensity:
| index | d/Å | 2theta | intensity |
| --- | --- | --- | --- |
| 3 1 -2 | 3.677 | 24.20 | 100 |
| 1 1 -6 | 3.548 | 25.10 | 93 |
| 2 2 -4 | 2.987 | 29.91 | 82 |
| 4 2 -6 | 2.211 | 40.82 | 79 |
| 1 1 3 | 4.848 | 18.30 | 78 |
| 2 2 -2 | 3.233 | 27.59 | 77 |
| 2 0 2 | 5.204 | 17.04 | 51 |
| 1 1 -7 | 3.141 | 28.41 | 49 |
| 3 1 -10 | 2.156 | 41.91 | 45 |
| 0 4 0 | 1.920 | 47.35 | 38 |